The following is a theoretical PXRD pattern of KLaFeSbO6. It was derived from a cell relaxed with GGA+U, using Cu Ka.
No peak broadening, texture or thermal motion is included.

Top 10 peaks for 10 to 90 degrees two-theta, low angle first:
2θ (°), intensity
19.20, 28
31.61, 100
37.26, 16
45.32, 35
49.64, 7
56.30, 38
60.06, 6
66.02, 20
75.05, 16
83.71, 7

Crystal structure
Unit cell a=5.660 b=5.660 c=5.660 alpha=60.00 beta=60.00 gamma=60.00
Element x y z (fractional)
K: 0.000 0.000 0.000
La: 0.500 0.500 0.500
Fe: 0.750 0.750 0.750
Sb: 0.250 0.250 0.250
O: 0.001 0.001 0.499
O: 0.001 0.499 0.001
O: 0.001 0.499 0.499
O: 0.499 0.001 0.001
O: 0.499 0.001 0.499
O: 0.499 0.499 0.001